Calculated powder X-ray diffraction pattern of Tb4Sm2ThMg for λ = 1.5418 Å (Cu Kα), from a structure optimized by DFT (PBE).
Lines closer than 0.1° are merged.

Atomic structure:
```
data_Tb4Sm2ThMg
_cell_length_a 7.1130
_cell_length_b 9.9174
_cell_length_c 7.1109
_cell_angle_alpha 90.00
_cell_angle_beta 90.00
_cell_angle_gamma 90.00
_space_group_name_H-M_alt 'C m m m'
_space_group_IT_number 65
_space_group_name_Hall '-C 2 2'
loop_
_atom_site_label
_atom_site_fract_x
_atom_site_fract_y
_atom_site_fract_z
_atom_site_occupancy
Tb1 0.2500 0.2500 0.2448 1
Sm1 0.0000 0.0000 0.5000 1
Sm2 0.0000 0.5000 0.5000 1
Th1 0.0000 0.0000 0.0000 1
Mg1 0.0000 0.5000 0.0000 1
```

Top 10 peaks for 10° ≤ 2θ ≤ 90°, low angle first:
19.8°, 4.485 Å, I = 8.1, hkl 1 1 1; 30.9°, 2.890 Å, I = 100.0, hkl 2 2 0; 35.7°, 2.514 Å, I = 34.2, hkl 2 0 2; 36.2°, 2.479 Å, I = 16.5, hkl 0 4 0; 51.4°, 1.778 Å, I = 12.2, hkl 4 0 0; 51.8°, 1.765 Å, I = 23.8, hkl 2 4 2; 61.2°, 1.514 Å, I = 28.8, hkl 4 2 2; 61.9°, 1.499 Å, I = 14.0, hkl 2 6 0; 64.5°, 1.445 Å, I = 12.3, hkl 4 4 0; 84.6°, 1.146 Å, I = 11.8, hkl 4 6 2